(1)
For ZrHg3B, a structure optimized by DFT (GGA-PBE) gives the theoretical powder XRD pattern in this record (a wavelength of 1.5418 Å).

The 10 most intense peaks (10° ≤ 2θ ≤ 90°), most intense first:
Position (°2θ)  I_rel  h k l
33.46  100.0  1 1 1
38.83  52.7  2 0 0
66.90  41.5  3 1 1
56.08  36.4  2 2 0
70.30  12.5  2 2 2
19.13  8.0  1 0 0
83.33  6.1  4 0 0
27.19  5.0  1 1 0
43.63  4.2  2 1 0
48.05  2.5  2 1 1

Structure:
Unit cell a=4.6385 b=4.6385 c=4.6385 alpha=90.00 beta=90.00 gamma=90.00
Space group Pm-3m (No. 221)
Symmetry-distinct sites (fractional):
Zr 0.0000 0.0000 0.0000 (multiplicity 1)
Hg 0.0000 0.5000 0.5000 (multiplicity 3)
B 0.5000 0.5000 0.5000 (multiplicity 1)

(2)
For HoB4, a structure optimized by DFT (GGA-PBE) gives the theoretical powder XRD pattern in this record (a wavelength of 1.5418 Å).

The 10 most intense peaks (10° ≤ 2θ ≤ 90°), most intense first:
Position (°2θ)  I_rel  h k l
36.13  100.0  2 1 1
28.15  78.2  2 1 0
22.19  58.1  0 0 1
33.77  52.5  2 0 1
25.13  37.4  2 0 0
58.42  34.2  4 1 1
53.29  29.0  4 1 0
54.16  26.4  2 1 2
72.45  23.1  4 1 2
46.42  18.2  3 1 1

Structure:
Unit cell a=7.0878 b=7.0878 c=4.0062 alpha=90.00 beta=90.00 gamma=90.00
Space group P4/mbm (No. 127)
Symmetry-distinct sites (fractional):
Ho 0.1816 0.3184 0.0000 (multiplicity 4)
B 0.0000 0.0000 0.2032 (multiplicity 4)
B 0.0389 0.8236 0.5000 (multiplicity 8)
B 0.0869 0.5869 0.5000 (multiplicity 4)

(3)
For Ho3B11, a structure optimized by DFT (GGA-PBE) gives the theoretical powder XRD pattern in this record (a wavelength of 1.5418 Å).

The 10 most intense peaks (10° ≤ 2θ ≤ 90°), most intense first:
Position (°2θ)  I_rel  h k l
40.37  100.0  1 1 4
31.63  76.2  1 1 0
24.43  67.6  0 0 4
40.51  50.0  0 2 4
16.89  38.2  0 1 1
31.80  37.2  0 2 0
12.14  25.5  0 0 2
60.44  23.4  1 1 8
56.55  19.3  1 3 0
71.56  18.5  2 2 4

Structure:
Unit cell a=3.2720 b=5.6273 c=14.5754 alpha=90.00 beta=90.00 gamma=90.00
Space group Immm (No. 71)
Symmetry-distinct sites (fractional):
Ho 0.0000 0.0000 0.0000 (multiplicity 2)
Ho 0.0000 0.0000 0.2436 (multiplicity 4)
B 0.0000 0.1617 0.5000 (multiplicity 4)
B 0.0000 0.3203 0.3828 (multiplicity 8)
B 0.0000 0.3413 0.1210 (multiplicity 8)
B 0.0000 0.5000 0.0000 (multiplicity 2)